Structure and simulated powder diffraction line list of Rb6UMo4O18 (a GGA+U-relaxed structure; CuKα).
No peak broadening, texture or thermal motion is included.

Crystal structure
```
data_Rb6UMo4O18
_chemical_formula_sum 'Rb24 U4 Mo16 O72'
_cell_length_a 17.6888
_cell_length_b 11.7917
_cell_length_c 14.4023
_cell_angle_alpha 90.00
_cell_angle_beta 127.84
_cell_angle_gamma 90.00
_symmetry_space_group_name_H-M 'C 1 2/c 1'
_symmetry_Int_Tables_number 15
loop_
_symmetry_equiv_pos_as_xyz
'x,y,z'
'-x,-y,-z'
'-x,y,-z+1/2'
'x,-y,z+1/2'
'x+1/2,y+1/2,z'
'-x+1/2,-y+1/2,-z'
'-x+1/2,y+1/2,-z+1/2'
'x+1/2,-y+1/2,z+1/2'
loop_
_atom_site_label
_atom_site_fract_x
_atom_site_fract_y
_atom_site_fract_z
_atom_site_occupancy
Rb1 0.0000 0.0723 0.2500 1
Rb2 0.0000 0.2557 0.7500 1
Rb3 0.0573 0.4264 0.1667 1
Rb4 0.2026 0.1197 0.1657 1
U1 0.2500 0.2500 0.5000 1
Mo1 0.0832 0.1920 0.5713 1
Mo2 0.2287 0.4386 0.0419 1
O1 0.0177 0.1912 0.0799 1
O2 0.0660 0.0894 0.6468 1
O3 0.0910 0.3295 0.6288 1
O4 0.1254 0.2880 0.3748 1
O5 0.1289 0.4422 0.8894 1
O6 0.1742 0.1306 0.9408 1
O7 0.1937 0.1595 0.5852 1
O8 0.1959 0.3704 0.1225 1
O9 0.2341 0.0891 0.4055 1
```

Most intense lines, 2θ from 10° to 90°, low angle first:
hkl  d [Å]  2θ (°)  intensity
2 0 2  3.488  25.54  83.6
3 1 -4  3.444  25.87  38.3
1 3 1  3.424  26.03  100.0
4 2 -3  3.378  26.39  21.8
5 1 -3  3.351  26.60  52.2
1 1 3  3.089  28.90  27.1
4 2 -4  3.003  29.75  25.4
4 4 -3  2.397  37.53  24.3